Computed XRD peak list of Li3V2F9 for λ = 1.5418 Å (Cu Kα), from the GGA+U geometry in Alexandria.
Intensities are scaled so that the largest is 1000.

Most intense lines, 2θ = 10–90°, in order of falling intensity:
2θ/deg	d_spacing	I/Imax
20.05	4.428	1000
40.04	2.252	564
32.23	2.777	319
52.57	1.741	308
23.65	3.762	210
62.97	1.476	199
48.39	1.881	171
61.17	1.515	136
43.56	2.078	118
24.97	3.566	83
40.75	2.214	69
54.86	1.674	67

Crystal structure
Unit cell a=5.1130 b=5.1130 c=14.2635 alpha=90.00 beta=90.00 gamma=120.00
Positions (direct):
Li (0.0000, 0.0000, 0.0000)
Li (0.0000, 0.0000, 0.2015)
Li (0.0000, 0.0000, 0.5000)
Li (0.0000, 0.0000, 0.7015)
Li (0.3333, 0.6667, 0.0129)
Li (0.3333, 0.6667, 0.5129)
V (0.6667, 0.3333, 0.1599)
V (0.6667, 0.3333, 0.3660)
V (0.6667, 0.3333, 0.6599)
V (0.6667, 0.3333, 0.8660)
F (0.3194, 0.0037, 0.0986)
F (0.3194, 0.3158, 0.5986)
F (0.3490, 0.0092, 0.4370)
F (0.3490, 0.3398, 0.9370)
F (0.3726, 0.0612, 0.7613)
F (0.3726, 0.3114, 0.2613)
F (0.6602, 0.0092, 0.9370)
F (0.6602, 0.6510, 0.4370)
F (0.6842, 0.0037, 0.5986)
F (0.6842, 0.6806, 0.0986)
F (0.6886, 0.0612, 0.2613)
F (0.6886, 0.6274, 0.7613)
F (0.9388, 0.3114, 0.7613)
F (0.9388, 0.6274, 0.2613)
F (0.9908, 0.3398, 0.4370)
F (0.9908, 0.6510, 0.9370)
F (0.9963, 0.3158, 0.0986)
F (0.9963, 0.6806, 0.5986)